Entry 1:
For Pu4Ga6Rh7, a cell relaxed with GGA-PBE gives the simulated X-ray diffraction stick pattern in this record (λ = 1.5418 Å (Cu Kα)).
Neutral-atom scattering factors, no anomalous dispersion.

Most intense lines, 10° ≤ 2θ ≤ 90°, in order of falling intensity:
2θ (°)	I_rel	hkl
36.9	100	2 2 2
42.8	61	4 0 0
29.9	49	2 2 0
62.2	34	4 4 0
74.5	30	6 2 2
21.0	16	2 0 0
48.2	16	4 2 0
70.5	14	6 2 0
53.1	14	4 2 2
39.9	13	3 2 1

Atomic structure:
```
data_Pu4Ga6Rh7
_cell_length_a 8.4476
_cell_length_b 8.4476
_cell_length_c 8.4476
_cell_angle_alpha 90.00
_cell_angle_beta 90.00
_cell_angle_gamma 90.00
_symmetry_space_group_name_H-M 'I m -3 m'
_symmetry_Int_Tables_number 229
_symmetry_space_group_name_Hall '-I 4 2 3'
loop_
_atom_site_label
_atom_site_fract_x
_atom_site_fract_y
_atom_site_fract_z
Pu1 0.2500 0.2500 0.2500
Ga1 0.0000 0.0000 0.3135
Rh1 0.0000 0.0000 0.0000
Rh2 0.0000 0.2500 0.5000
```

=====

Entry 2:
For PuGa3Rh7, a cell relaxed with GGA-PBE gives the simulated X-ray diffraction stick pattern in this record (λ = 1.5418 Å (Cu Kα)).
Neutral-atom scattering factors, no anomalous dispersion.

Most intense lines, 10° ≤ 2θ ≤ 90°, in order of falling intensity:
2θ (°)	I_rel	hkl
41.4	100	2 2 1
36.0	87	2 0 -2
39.0	80	0 4 0
30.4	60	2 2 0
43.8	53	0 2 2
47.7	52	4 2 -1
36.7	45	3 1 0
54.2	40	2 4 -2
31.4	30	1 3 0
23.3	28	2 0 -1

Atomic structure:
```
data_PuGa3Rh7
_cell_length_a 8.3739
_cell_length_b 9.2285
_cell_length_c 5.0920
_cell_angle_alpha 90.00
_cell_angle_beta 114.68
_cell_angle_gamma 90.00
_symmetry_space_group_name_H-M 'C 1 2/m 1'
_symmetry_Int_Tables_number 12
_symmetry_space_group_name_Hall '-C 2y'
loop_
_atom_site_label
_atom_site_fract_x
_atom_site_fract_y
_atom_site_fract_z
Pu1 0.0000 0.0000 0.0000
Ga1 0.0000 0.2745 0.5000
Ga2 0.0000 0.5000 0.0000
Rh1 0.0000 0.0000 0.5000
Rh2 0.1844 0.2795 0.1912
Rh3 0.1879 0.5000 0.5645
```

=====

Entry 3:
For Pu3Ga5Rh6, a cell relaxed with GGA-PBE gives the simulated X-ray diffraction stick pattern in this record (λ = 1.5418 Å (Cu Kα)).
Neutral-atom scattering factors, no anomalous dispersion.

Most intense lines, 10° ≤ 2θ ≤ 90°, in order of falling intensity:
2θ (°)	I_rel	hkl
35.8	100	1 3 2
42.6	54	2 0 0
36.8	37	1 0 3
36.6	36	0 3 3
39.4	31	1 2 3
23.2	28	1 0 1
36.3	25	1 4 1
29.5	21	1 3 0
57.4	20	2 3 3
41.9	18	0 6 0

Atomic structure:
```
data_Pu3Ga5Rh6
_cell_length_a 4.2489
_cell_length_b 12.9432
_cell_length_c 8.9531
_cell_angle_alpha 90.00
_cell_angle_beta 90.00
_cell_angle_gamma 90.00
_symmetry_space_group_name_H-M 'P m m n'
_symmetry_Int_Tables_number 59
loop_
_symmetry_equiv_pos_as_xyz
'x,y,z'
'-x,-y,-z'
'-x+1/2,-y+1/2,z'
'x+1/2,y+1/2,-z'
'x+1/2,-y,-z'
'-x+1/2,y,z'
'-x,y+1/2,-z'
'x,-y+1/2,z'
loop_
_atom_site_label
_atom_site_fract_x
_atom_site_fract_y
_atom_site_fract_z
Pu1 0.2500 0.0500 0.2491
Pu2 0.2500 0.7500 0.2267
Ga1 0.2500 0.1000 0.8752
Ga2 0.2500 0.6349 0.5177
Ga3 0.2500 0.7500 0.7910
Rh1 0.2500 0.0579 0.5971
Rh2 0.2500 0.2500 0.0535
Rh3 0.2500 0.2500 0.4055
Rh4 0.2500 0.5877 0.9713
```